Record 1
This entry pairs a crystal structure of Ac2ZnSi3Pt4 with its theoretical powder diffraction line list. Radiation: Cu Kα (weighted mean of Kα1 and Kα2). Structure: a cell relaxed with PBE.

Structural model:
```
data_Ac2ZnSi3Pt4
_chemical_formula_sum 'Ac2 Zn1 Si3 Pt4'
_symmetry_space_group_name_H-M 'P -4 m 2'
_symmetry_Int_Tables_number 115
_cell_length_a 4.407
_cell_length_b 4.407
_cell_length_c 10.093
_cell_angle_alpha 90.00
_cell_angle_beta 90.00
_cell_angle_gamma 90.00
loop_
_symmetry_equiv_pos_as_xyz
'x,y,z'
'y,-x,-z'
'-x,-y,z'
'-y,x,-z'
'-x,y,z'
'-y,-x,-z'
'x,-y,z'
'y,x,-z'
loop_
_atom_site_label
_atom_site_type_symbol
_atom_site_fract_x
_atom_site_fract_y
_atom_site_fract_z
Ac1 Ac 0.000 0.500 0.246
Zn1 Zn 0.500 0.500 0.000
Si1 Si 0.000 0.000 0.000
Si2 Si 0.000 0.500 0.623
Pt1 Pt 0.000 0.000 0.500
Pt2 Pt 0.000 0.500 0.868
Pt3 Pt 0.500 0.500 0.500
```

Principal peaks in the range 15° ≤ 2θ ≤ 90°, most intense first:
2θ 33.81, intensity 100, (1 1 2)
2θ 40.96, intensity 61, (2 0 0)
2θ 33.51, intensity 58, (1 0 3)
2θ 30.01, intensity 39, (1 1 1)
2θ 49.67, intensity 31, (1 0 5)
2θ 53.92, intensity 31, (2 1 3)
2θ 70.04, intensity 25, (3 1 2)
2θ 66.28, intensity 22, (2 1 5)
2θ 59.31, intensity 21, (2 2 0)
2θ 26.86, intensity 18, (1 0 2)
2θ 26.49, intensity 17, (0 0 3)
2θ 89.52, intensity 13, (2 0 8)



Record 2
This entry pairs a crystal structure of Dy3Hg3Au2 with its theoretical powder diffraction line list. Radiation: Cu Kα (weighted mean of Kα1 and Kα2). Structure: a cell relaxed with PBE.

Structural model:
```
data_Dy3Hg3Au2
_chemical_formula_sum 'Dy3 Hg3 Au2'
_symmetry_space_group_name_H-M 'P -6 2 m'
_symmetry_Int_Tables_number 189
_symmetry_space_group_name_Hall 'P -6 -2'
_cell_length_a 7.8096
_cell_length_b 7.8096
_cell_length_c 3.6557
_cell_angle_alpha 90.00
_cell_angle_beta 90.00
_cell_angle_gamma 120.00
loop_
_atom_site_label
_atom_site_type_symbol
_atom_site_fract_x
_atom_site_fract_y
_atom_site_fract_z
Dy1 Dy 0.0000 0.5930 0.0000
Hg1 Hg 0.0000 0.2318 0.5000
Au1 Au 0.3333 0.6667 0.5000
```

Principal peaks in the range 15° ≤ 2θ ≤ 90°, most intense first:
2θ 33.58, intensity 100, (1 1 1)
2θ 35.10, intensity 88, (2 1 0)
2θ 36.18, intensity 56, (2 0 1)
2θ 62.46, intensity 34, (2 1 2)
2θ 43.18, intensity 31, (2 1 1)
2θ 68.57, intensity 26, (4 1 1)
2θ 39.99, intensity 22, (3 0 0)
2θ 65.33, intensity 21, (3 2 1)
2θ 49.89, intensity 18, (0 0 2)
2θ 55.02, intensity 18, (3 1 1)
2θ 24.35, intensity 15, (0 0 1)
2θ 65.77, intensity 10, (3 0 2)



Record 3
This entry pairs a crystal structure of SrPmGeN3 with its theoretical powder diffraction line list. Radiation: Cu Kα (weighted mean of Kα1 and Kα2). Structure: a cell relaxed with PBE.

Structural model:
```
data_SrPmGeN3
_chemical_formula_sum 'Sr4 Pm4 Ge4 N12'
_symmetry_space_group_name_H-M 'C 1 2/m 1'
_symmetry_Int_Tables_number 12
_cell_length_a 12.996
_cell_length_b 4.041
_cell_length_c 7.286
_cell_angle_alpha 90.00
_cell_angle_beta 105.98
_cell_angle_gamma 90.00
loop_
_symmetry_equiv_pos_as_xyz
'x,y,z'
'-x,-y,-z'
'-x,y,-z'
'x,-y,z'
'x+1/2,y+1/2,z'
'-x+1/2,-y+1/2,-z'
'-x+1/2,y+1/2,-z'
'x+1/2,-y+1/2,z'
loop_
_atom_site_label
_atom_site_type_symbol
_atom_site_fract_x
_atom_site_fract_y
_atom_site_fract_z
Sr1 Sr 0.149 0.000 0.073
Pm1 Pm 0.150 0.000 0.577
Ge1 Ge 0.003 0.500 0.261
N1 N 0.004 0.000 0.276
N2 N 0.149 0.500 0.808
N3 N 0.156 0.500 0.340
```

Principal peaks in the range 15° ≤ 2θ ≤ 90°, most intense first:
2θ 33.11, intensity 100, (1 1 -2)
2θ 30.83, intensity 76, (3 1 0)
2θ 32.57, intensity 40, (2 0 2)
2θ 32.75, intensity 40, (4 0 -2)
2θ 44.85, intensity 25, (0 2 0)
2θ 43.46, intensity 20, (6 0 0)
2θ 55.82, intensity 17, (7 1 -2)
2θ 50.08, intensity 17, (2 0 -4)
2θ 56.52, intensity 17, (2 2 2)
2θ 56.63, intensity 17, (4 2 -2)
2θ 55.59, intensity 16, (5 1 2)
2θ 69.47, intensity 12, (2 2 -4)



Record 4
This entry pairs a crystal structure of MnGaCoSe2 with its theoretical powder diffraction line list. Radiation: Cu Kα (weighted mean of Kα1 and Kα2). Structure: a cell relaxed with PBE.

Structural model:
```
data_MnGaCoSe2
_chemical_formula_sum 'Mn1 Ga1 Co1 Se2'
_symmetry_space_group_name_H-M 'P 1'
_symmetry_Int_Tables_number 1
_cell_length_a 3.958
_cell_length_b 4.167
_cell_length_c 5.449
_cell_angle_alpha 90.03
_cell_angle_beta 90.38
_cell_angle_gamma 90.03
loop_
_symmetry_equiv_pos_as_xyz
'x,y,z'
loop_
_atom_site_label
_atom_site_type_symbol
_atom_site_fract_x
_atom_site_fract_y
_atom_site_fract_z
Mn1 Mn 0.000 0.000 0.000
Ga1 Ga 0.443 0.494 0.530
Co1 Co 0.944 0.500 0.284
Se1 Se 0.443 0.501 0.996
Se2 Se 0.932 0.999 0.507
```

Principal peaks in the range 15° ≤ 2θ ≤ 90°, most intense first:
2θ 45.83, intensity 100, (-1 1 2)
2θ 31.17, intensity 87, (1 -1 0)
2θ 46.05, intensity 68, (1 1 2)
2θ 43.43, intensity 42, (0 2 0)
2θ 32.88, intensity 39, (0 0 2)
2θ 65.00, intensity 22, (2 -2 0)
2θ 55.53, intensity 17, (0 2 2)
2θ 85.11, intensity 14, (0 2 4)
2θ 21.32, intensity 14, (0 1 0)
2θ 27.95, intensity 14, (1 0 1)
2θ 35.28, intensity 14, (1 1 -1)
2θ 81.58, intensity 12, (1 3 2)



Record 5
This entry pairs a crystal structure of K6InCl8 with its theoretical powder diffraction line list. Radiation: Cu Kα (weighted mean of Kα1 and Kα2). Structure: a cell relaxed with PBE.

Structural model:
```
data_K6InCl8
_chemical_formula_sum 'K6 In1 Cl8'
_symmetry_space_group_name_H-M 'P -3 1 m'
_symmetry_Int_Tables_number 162
_symmetry_space_group_name_Hall '-P 3 2'
_cell_length_a 9.1171
_cell_length_b 9.1171
_cell_length_c 6.8481
_cell_angle_alpha 90.00
_cell_angle_beta 90.00
_cell_angle_gamma 120.00
loop_
_atom_site_label
_atom_site_type_symbol
_atom_site_fract_x
_atom_site_fract_y
_atom_site_fract_z
K1 K 0.0000 0.3783 0.2159
In1 In 0.0000 0.0000 0.5000
Cl1 Cl 0.0000 0.2688 0.7053
Cl2 Cl 0.3333 0.6667 0.0000
```

Principal peaks in the range 15° ≤ 2θ ≤ 90°, most intense first:
2θ 32.72, intensity 100, (2 -1 2)
2θ 17.14, intensity 57, (1 0 1)
2θ 34.07, intensity 40, (3 0 0)
2θ 43.38, intensity 19, (3 1 1)
2θ 47.95, intensity 18, (2 2 2)
2θ 26.04, intensity 14, (0 0 2)
2θ 50.33, intensity 13, (2 1 3)
2θ 45.94, intensity 11, (2 0 3)
2θ 65.82, intensity 8, (5 -2 3)
2θ 60.12, intensity 8, (5 -1 2)
2θ 40.08, intensity 7, (3 -1 2)
2θ 52.24, intensity 6, (3 2 1)



Record 6
This entry pairs a crystal structure of Pr5Nd2HoTm with its theoretical powder diffraction line list. Radiation: Cu Kα (weighted mean of Kα1 and Kα2). Structure: a cell relaxed with PBE.

Structural model:
```
data_Pr5Nd2HoTm
_chemical_formula_sum 'Pr20 Nd8 Ho4 Tm4'
_symmetry_space_group_name_H-M 'I 4/m c m'
_symmetry_Int_Tables_number 140
_symmetry_space_group_name_Hall '-I 4 2c'
_cell_length_a 8.608
_cell_length_b 8.608
_cell_length_c 17.171
_cell_angle_alpha 90.00
_cell_angle_beta 90.00
_cell_angle_gamma 90.00
loop_
_atom_site_label
_atom_site_type_symbol
_atom_site_fract_x
_atom_site_fract_y
_atom_site_fract_z
Pr1 Pr 0.000 0.000 0.000
Pr2 Pr 0.221 0.279 0.144
Nd1 Nd 0.123 0.377 0.500
Ho1 Ho 0.000 0.000 0.250
Tm1 Tm 0.000 0.500 0.250
```

Principal peaks in the range 15° ≤ 2θ ≤ 90°, most intense first:
2θ 29.37, intensity 100, (2 2 0)
2θ 52.09, intensity 28, (4 2 4)
2θ 27.93, intensity 25, (2 1 3)
2θ 37.75, intensity 11, (2 0 6)
2θ 31.21, intensity 10, (0 0 6)
2θ 43.35, intensity 9, (4 0 2)
2θ 42.10, intensity 8, (0 0 8)
2θ 38.05, intensity 7, (3 2 1)
2θ 34.57, intensity 7, (3 1 2)
2θ 60.90, intensity 7, (4 4 0)
2θ 69.01, intensity 6, (6 2 0)
2θ 84.21, intensity 6, (6 4 4)



Record 7
This entry pairs a crystal structure of Sm6Ga2Ru with its theoretical powder diffraction line list. Radiation: Cu Kα (weighted mean of Kα1 and Kα2). Structure: a cell relaxed with PBE.

Structural model:
```
data_Sm6Ga2Ru
_chemical_formula_sum 'Sm12 Ga4 Ru2'
_symmetry_space_group_name_H-M 'I m m m'
_symmetry_Int_Tables_number 71
_symmetry_space_group_name_Hall '-I 2 2'
_cell_length_a 5.051
_cell_length_b 7.115
_cell_length_c 14.821
_cell_angle_alpha 90.00
_cell_angle_beta 90.00
_cell_angle_gamma 90.00
loop_
_atom_site_label
_atom_site_type_symbol
_atom_site_fract_x
_atom_site_fract_y
_atom_site_fract_z
Sm1 Sm 0.000 0.239 0.000
Sm2 Sm 0.000 0.255 0.341
Ga1 Ga 0.000 0.500 0.167
Ru1 Ru 0.000 0.500 0.500
```

Principal peaks in the range 15° ≤ 2θ ≤ 90°, most intense first:
2θ 35.82, intensity 100, (1 2 3)
2θ 25.21, intensity 39, (1 0 3)
2θ 64.02, intensity 27, (3 2 3)
2θ 35.54, intensity 26, (2 0 0)
2θ 36.37, intensity 23, (0 0 6)
2θ 25.03, intensity 20, (0 2 0)
2θ 51.77, intensity 17, (2 0 6)
2θ 65.09, intensity 16, (1 2 9)
2θ 86.58, intensity 12, (4 0 6)
2θ 75.92, intensity 11, (2 4 6)
2θ 43.96, intensity 10, (2 2 0)
2θ 21.90, intensity 9, (0 1 3)



Record 8
This entry pairs a crystal structure of NaTc2SbO8 with its theoretical powder diffraction line list. Radiation: Cu Kα (weighted mean of Kα1 and Kα2). Structure: a cell relaxed with PBE.

Structural model:
```
data_NaTc2SbO8
_chemical_formula_sum 'Na3 Tc6 Sb3 O24'
_symmetry_space_group_name_H-M 'R 3 2'
_symmetry_Int_Tables_number 155
_symmetry_space_group_name_Hall 'R 3 2"'
_cell_length_a 5.2900
_cell_length_b 5.2900
_cell_length_c 24.9445
_cell_angle_alpha 90.00
_cell_angle_beta 90.00
_cell_angle_gamma 120.00
loop_
_atom_site_label
_atom_site_type_symbol
_atom_site_fract_x
_atom_site_fract_y
_atom_site_fract_z
Na1 Na 0.0000 0.0000 0.0000
Tc1 Tc 0.0000 0.0000 0.2514
Sb1 Sb 0.0000 0.0000 0.5000
O1 O 0.0000 0.0000 0.3215
O2 O 0.0074 0.3568 0.8918
```

Principal peaks in the range 15° ≤ 2θ ≤ 90°, most intense first:
2θ 24.10, intensity 100, (1 0 4)
2θ 33.89, intensity 40, (1 1 0)
2θ 34.80, intensity 31, (0 1 8)
2θ 56.28, intensity 24, (1 1 12)
2θ 42.02, intensity 20, (0 2 4)
2θ 55.04, intensity 19, (2 1 4)
2θ 19.70, intensity 19, (1 0 1)
2θ 60.64, intensity 12, (3 0 0)
2θ 61.23, intensity 12, (1 2 8)
2θ 49.37, intensity 12, (2 0 8)
2θ 26.41, intensity 10, (0 1 5)
2θ 43.51, intensity 10, (0 0 12)